Diffraction record for Ce3RhBr3. The powder diffraction line list is calculated, not measured: it uses a DFT-relaxed cell (GGA-PBE, Alexandria) and Cu Kα.
Neutral-atom scattering factors, no anomalous dispersion.

Top 10 peaks for 10 to 90 degrees two-theta, by angle:
d/Å  2theta  intensity  (hkl)
7.124  12.4  16  1 0 1
2.992  29.9  100  2 1 0
2.982  30.0  57  0 0 4
2.899  30.8  11  2 1 1
2.393  37.6  13  3 1 0
2.225  40.5  14  4 0 0
2.117  42.7  34  2 1 -4
2.108  42.9  38  2 1 4
2.021  44.8  19  0 2 0
1.673  54.9  20  0 2 4

Cell and atoms:
```
14
Lattice="8.9012 0.0000 0.0000 0.0000 4.0422 0.0000 -0.0762 0.0000 11.9270" Properties=species:S:1:pos:R:3 pbc="T T T"
Ce 0.8232 1.0105 4.4040
Ce 0.8663 1.0105 10.5622
Ce 2.8961 3.0316 1.5531
Ce 5.9288 1.0105 10.3739
Ce 7.9586 3.0316 1.3648
Ce 8.0017 3.0316 7.5230
Rh 1.0015 1.0105 1.5233
Rh 7.8235 3.0316 10.4037
Br 1.4165 1.0105 7.4502
Br 3.1047 3.0316 4.5402
Br 3.4390 3.0316 10.3911
Br 5.3859 1.0105 1.5359
Br 5.7203 1.0105 7.3868
Br 7.4084 3.0316 4.4768
```